Computed powder diffraction line list of K9Eu3Si12O32F2 for Cu Kα, 1.54184 Å, from a PBE-relaxed structure.
Kinematic intensities with the Lorentz-polarization factor, no thermal factor.

Crystal structure
```
K9Eu3Si12O32F2
1.0
6.9942 0.0000 0.0000
2.0452 11.4026 0.0000
0.0637 0.4387 11.6564
K Eu Si O F
9 3 12 32 2
Cartesian
0.0000 0.0000 0.0000 K
2.4584 4.8031 11.4511 K
2.7113 2.2582 2.5848 K
2.6787 2.0639 9.1702 K
4.8031 7.8551 5.7245 K
4.3000 3.9862 5.9320 K
6.4244 9.7774 2.4862 K
6.3918 9.5831 9.0716 K
6.6447 7.0382 0.2053 K
1.1892 6.1312 7.7683 Eu
3.5289 0.2194 5.8282 Eu
7.9139 5.7101 3.8881 Eu
0.8671 2.8627 5.9523 Si
2.9703 10.4987 3.5395 Si
2.9422 10.1512 8.0393 Si
2.7677 8.0078 1.8391 Si
2.9341 8.0001 10.2775 Si
4.3938 5.6600 2.9895 Si
4.7092 6.1813 8.6669 Si
6.1690 3.8412 1.3789 Si
6.3353 3.8335 9.8173 Si
6.1609 1.6901 3.6171 Si
6.1327 1.3426 8.1169 Si
8.2360 8.9786 5.7041 Si
1.3595 7.4942 2.4080 O
1.7260 9.3253 7.2785 O
0.9933 4.4807 6.0126 O
2.3799 11.6542 8.4515 O
1.5921 7.2479 9.8381 O
2.4979 9.4876 4.7443 O
3.0424 9.6138 2.1388 O
2.8952 7.8899 0.2162 O
3.1806 9.4457 9.5177 O
2.2452 2.1069 6.3163 O
3.0779 4.9844 3.6411 O
3.4870 6.1134 7.6089 O
4.3938 11.1620 3.8430 O
4.3130 10.2195 7.2263 O
4.0912 7.2156 2.4592 O
4.2884 7.0543 10.0379 O
4.8147 4.7870 1.6185 O
5.0119 4.6257 9.1972 O
4.7900 1.6218 4.4301 O
4.7092 0.6793 7.8135 O
5.6161 5.7280 4.0475 O
6.0251 6.8569 8.0153 O
6.8578 9.7344 5.3402 O
5.9225 2.3957 2.1387 O
6.2079 3.9514 11.4402 O
6.0606 2.2275 9.5176 O
6.6051 2.3537 6.9121 O
7.5109 4.5934 1.8183 O
6.7231 0.1871 3.2049 O
8.1097 7.3606 5.6439 O
7.3770 2.5160 4.3779 O
7.7436 4.3471 9.2484 O
2.1054 1.7758 0.0516 F
6.9976 10.0655 11.6048 F
```

Top 12 peaks for 15 to 90 degrees two-theta, in order of rising 2θ:
(hkl), 2theta, I (rel.)
0 2 0, 15.59, 74
1 -1 0, 16.17, 57
1 0 3, 26.35, 88
2 0 -1, 27.01, 100
0 3 2, 27.54, 57
2 2 0, 27.82, 93
2 -1 0, 28.33, 61
1 2 3, 29.05, 78
-1 3 1, 29.57, 73
1 2 -3, 29.99, 94
-2 1 2, 32.18, 45
0 4 -1, 32.64, 61